[1]
Starting from a DFT-relaxed cell (PBE+U, Alexandria), the XRD peak list of Mg2Fe3O8 was calculated for Cu Kα (weighted mean of Kα1 and Kα2).

Crystal structure
```
Mg2Fe3O8
1.0
5.1093 -2.8879 0.0000
5.1093 2.8879 0.0000
-1.6273 0.0000 4.5617
Mg Fe O
2 3 8
Cartesian
2.0073 0.0000 0.7110
6.5839 0.0000 3.8506
4.2956 1.4930 2.2808
5.1093 0.0000 0.0000
4.2956 -1.4930 2.2808
0.3952 0.0000 1.9821
3.7862 1.3056 0.4683
4.8050 1.3056 4.0933
3.0679 0.0000 2.6830
5.5233 0.0000 1.8786
3.7862 -1.3056 0.4683
4.8050 -1.3056 4.0933
8.1960 0.0000 2.5796
```

Top 10 peaks for 2θ from 10° to 90°, in order of rising 2θ:
- 2θ = 17.91°, intensity 24
- 2θ = 18.44°, intensity 100
- 2θ = 28.81°, intensity 34
- 2θ = 32.18°, intensity 24
- 2θ = 38.24°, intensity 55
- 2θ = 39.51°, intensity 25
- 2θ = 48.10°, intensity 49
- 2θ = 49.65°, intensity 24
- 2θ = 58.52°, intensity 27
- 2θ = 66.34°, intensity 27



[2]
Starting from a DFT-relaxed cell (PBE+U, Alexandria), the XRD peak list of Mn2O3 was calculated for Cu Kα (weighted mean of Kα1 and Kα2).

Crystal structure
```
Mn2O3
1.0
-4.8055 4.8055 4.8055
4.8055 -4.8055 4.8055
4.8055 4.8055 -4.8055
Mn O
16 24
Cartesian
0.0000 0.0000 0.0000
4.8055 0.0000 0.0000
4.8055 -2.4028 2.7398
7.2083 2.0658 0.0000
2.7398 4.8055 -2.4028
2.7398 0.0000 2.4028
2.4028 2.7398 0.0000
4.8055 2.4028 2.0658
0.0000 4.8055 0.0000
0.0000 0.0000 4.8055
0.0000 2.4028 2.7398
2.4028 2.0658 4.8055
2.0658 4.8055 2.4028
2.0658 0.0000 7.2083
-2.4028 2.7398 4.8055
0.0000 7.2083 2.0658
3.9790 -1.2525 1.3853
1.3853 -0.8266 1.2525
1.2525 1.3853 -0.8266
6.1908 0.8266 1.2525
3.9790 3.5531 -1.3853
3.5531 1.3853 0.8266
3.5531 -1.3853 3.9790
-0.8266 1.2525 1.3853
1.3853 3.9790 -1.2525
6.0580 3.4203 0.8266
1.3853 0.8266 3.5531
3.9790 1.2525 3.4203
0.8266 3.5531 1.3853
3.4203 3.9790 1.2525
-1.2525 1.3853 3.9790
3.4203 0.8266 6.0580
5.6321 3.5531 3.4203
1.2525 6.1908 0.8266
1.2525 3.4203 3.9790
0.8266 1.2525 6.1908
-1.3853 3.9790 3.5531
3.5531 3.4203 5.6321
3.4203 5.6321 3.5531
0.8266 6.0580 3.4203
```

Top 10 peaks for 2θ from 10° to 90°, in order of rising 2θ:
- 2θ = 22.66°, intensity 16
- 2θ = 32.27°, intensity 100
- 2θ = 37.43°, intensity 17
- 2θ = 44.20°, intensity 10
- 2θ = 48.28°, intensity 13
- 2θ = 53.97°, intensity 41
- 2θ = 62.64°, intensity 7
- 2θ = 64.29°, intensity 23
- 2θ = 65.92°, intensity 6
- 2θ = 88.74°, intensity 6